No. 1
# LaCeZn2In2
Theoretical powder X-ray diffraction pattern, a wavelength of 1.5418 Å. Input: the GGA-PBE geometry in Alexandria.

Cell and atoms:
```
6
Lattice="4.7925 0.0000 0.0000 -2.3963 4.1504 0.0000 0.0000 0.0000 7.5759" Properties=species:S:1:pos:R:3 pbc="T T T"
La 0.0000 0.0000 0.0000
Ce 0.0000 0.0000 3.7879
Zn 0.0000 2.7670 5.4104
Zn 2.3963 1.3835 2.1654
In 0.0000 2.7670 2.0393
In 2.3963 1.3835 5.5366
```

Largest 12 diffraction maxima, sorted by position, 10 to 90 degrees two-theta:
2θ (°)	I (rel.)
24.45	7
31.99	100
37.53	67
48.04	8
50.12	28
62.51	22
64.27	26
67.73	11
79.31	6
80.10	7
87.27	9
88.85	11

=====

No. 2
# Li4Ce3In4
Theoretical powder X-ray diffraction pattern, a wavelength of 1.5418 Å. Input: the GGA-PBE geometry in Alexandria.

Cell and atoms:
```
11
Lattice="9.1703 0.0000 0.0000 0.0000 2.5069 5.6586 0.0000 -2.5069 5.6586" Properties=species:S:1:pos:R:3 pbc="T T T"
Li 0.0000 0.0000 0.0000
Li 1.7288 0.0000 5.5175
Li 4.5852 0.0000 10.8779
Li 7.4416 0.0000 5.5175
Ce 2.3338 0.0000 8.9404
Ce 4.5852 0.0000 7.2349
Ce 6.8365 0.0000 8.9404
In 0.0000 0.0000 3.1754
In 2.4146 0.0000 1.2269
In 4.5852 0.0000 3.7966
In 6.7558 0.0000 1.2269
```

Largest 12 diffraction maxima, sorted by position, 10 to 90 degrees two-theta:
2θ (°)	I (rel.)
15.66	37
21.67	13
27.51	60
31.62	11
35.29	8
35.64	100
35.82	29
39.30	28
54.22	16
64.25	23
68.88	13
75.48	8

=====

No. 3
# Li3Ce2In4
Theoretical powder X-ray diffraction pattern, a wavelength of 1.5418 Å. Input: the GGA-PBE geometry in Alexandria.

Cell and atoms:
```
9
Lattice="4.6487 -2.5241 0.0000 4.6487 2.5241 0.0000 -2.0667 0.0000 9.1726" Properties=species:S:1:pos:R:3 pbc="T T T"
Li 0.0000 0.0000 0.0000
Li 2.7078 0.0000 3.7825
Li 4.5228 0.0000 5.3901
Ce 1.1227 0.0000 6.9360
Ce 6.1079 0.0000 2.2366
In -0.0913 0.0000 3.4848
In 3.0888 0.0000 0.9426
In 4.1418 0.0000 8.2300
In 7.3219 0.0000 5.6878
```

Largest 12 diffraction maxima, sorted by position, 10 to 90 degrees two-theta:
2θ (°)	I (rel.)
21.40	70
23.29	15
23.72	17
30.62	49
33.84	100
34.10	62
34.58	36
35.57	48
37.54	16
47.62	28
56.34	17
62.79	23

=====

No. 4
# Li2CeInPb2
Theoretical powder X-ray diffraction pattern, a wavelength of 1.5418 Å. Input: the GGA-PBE geometry in Alexandria.

Cell and atoms:
```
6
Lattice="4.9077 0.0000 0.0000 -2.4538 4.2502 0.0000 0.0000 0.0000 7.0205" Properties=species:S:1:pos:R:3 pbc="T T T"
Li 0.0000 2.8334 1.1744
Li 2.4538 1.4167 5.8461
Ce 0.0000 0.0000 3.5102
In 0.0000 0.0000 0.0000
Pb 0.0000 2.8334 5.0787
Pb 2.4538 1.4167 1.9418
```

Largest 12 diffraction maxima, sorted by position, 10 to 90 degrees two-theta:
2θ (°)	I (rel.)
24.48	100
33.10	89
36.62	71
44.18	20
44.55	21
50.18	28
58.98	19
63.71	27
65.37	19
65.93	13
71.20	10
87.24	12

=====

No. 5
# LiCeTm2In4
Theoretical powder X-ray diffraction pattern, a wavelength of 1.5418 Å. Input: the GGA-PBE geometry in Alexandria.

Cell and atoms:
```
8
Lattice="2.5951 1.4983 8.8010 -2.5951 1.4983 8.8010 0.0000 -2.9965 8.8010" Properties=species:S:1:pos:R:3 pbc="T T T"
Li 0.0000 0.0000 0.0000
Ce 0.0000 0.0000 13.2015
Tm 0.0000 0.0000 6.6874
Tm 0.0000 0.0000 19.7156
In 0.0000 0.0000 3.1875
In 0.0000 0.0000 9.8169
In 0.0000 0.0000 16.5861
In 0.0000 0.0000 23.2154
```

Largest 12 diffraction maxima, sorted by position, 10 to 90 degrees two-theta:
2θ (°)	I (rel.)
20.88	13
26.03	10
33.69	100
34.56	96
49.04	34
59.69	18
61.38	35
61.93	17
70.84	10
72.90	11
81.28	15
82.76	15

=====

No. 6
# Ce2MgIn3
Theoretical powder X-ray diffraction pattern, a wavelength of 1.5418 Å. Input: the GGA-PBE geometry in Alexandria.

Cell and atoms:
```
6
Lattice="3.1226 1.8028 4.5644 -3.1226 1.8028 4.5644 0.0000 -3.6056 4.5644" Properties=species:S:1:pos:R:3 pbc="T T T"
Ce 0.0000 0.0000 1.4365
Ce 0.0000 0.0000 12.2568
Mg 0.0000 0.0000 6.8466
In -1.5613 -0.9014 4.5644
In -1.5613 0.9014 9.1288
In 0.0000 1.8028 4.5644
```

Largest 12 diffraction maxima, sorted by position, 10 to 90 degrees two-theta:
2θ (°)	I (rel.)
19.45	21
28.59	18
30.91	48
33.79	100
34.81	40
35.70	58
36.79	47
49.48	21
52.11	22
56.15	27
59.18	28
64.42	14

=====

No. 7
# CePmMgIn
Theoretical powder X-ray diffraction pattern, a wavelength of 1.5418 Å. Input: the GGA-PBE geometry in Alexandria.

Cell and atoms:
```
8
Lattice="4.8702 0.0000 0.0000 0.0000 4.8702 0.0000 0.0000 0.0000 9.3411" Properties=species:S:1:pos:R:3 pbc="T T T"
Ce 0.0000 0.0000 0.0000
Ce 2.4351 2.4351 4.6705
Pm 0.0000 0.0000 4.6705
Pm 2.4351 2.4351 0.0000
Mg 0.0000 2.4351 7.0058
Mg 2.4351 0.0000 2.3353
In 0.0000 2.4351 2.3353
In 2.4351 0.0000 7.0058
```

Largest 12 diffraction maxima, sorted by position, 10 to 90 degrees two-theta:
2θ (°)	I (rel.)
19.00	10
20.57	14
25.87	10
32.30	100
36.91	35
38.55	15
53.20	12
54.44	22
63.62	28
65.84	14
67.60	12
89.52	12

=====

No. 8
# CePmMgIn
Theoretical powder X-ray diffraction pattern, a wavelength of 1.5418 Å. Input: the GGA-PBE geometry in Alexandria.

Cell and atoms:
```
16
Lattice="7.7005 0.0000 0.0000 0.0000 7.7005 0.0000 0.0000 0.0000 7.7005" Properties=species:S:1:pos:R:3 pbc="T T T"
Ce 0.0000 0.0000 0.0000
Ce 0.0000 3.8503 3.8503
Ce 3.8503 0.0000 3.8503
Ce 3.8503 3.8503 0.0000
Pm 0.0000 0.0000 3.8503
Pm 0.0000 3.8503 0.0000
Pm 3.8503 0.0000 0.0000
Pm 3.8503 3.8503 3.8503
Mg 1.9251 1.9251 1.9251
Mg 1.9251 5.7754 5.7754
Mg 5.7754 1.9251 5.7754
Mg 5.7754 5.7754 1.9251
In 1.9251 1.9251 5.7754
In 1.9251 5.7754 1.9251
In 5.7754 1.9251 1.9251
In 5.7754 5.7754 5.7754
```

Largest 12 diffraction maxima, sorted by position, 10 to 90 degrees two-theta:
2θ (°)	I (rel.)
19.97	10
23.10	14
32.90	100
38.78	6
40.58	4
47.21	18
53.19	6
58.74	37
68.99	11
73.84	3
78.57	16
87.83	4

=====

No. 9
# CeMgIn3Rh
Theoretical powder X-ray diffraction pattern, a wavelength of 1.5418 Å. Input: the GGA-PBE geometry in Alexandria.

Cell and atoms:
```
12
Lattice="8.3271 0.0000 0.0000 0.0000 4.4085 0.0000 0.0000 0.0000 7.3754" Properties=species:S:1:pos:R:3 pbc="T T T"
Ce 2.0818 0.0000 0.7383
Ce 6.2453 0.0000 6.6372
Mg 0.0000 0.0000 3.6877
Mg 4.1635 0.0000 3.6877
In 0.4562 2.2043 5.9527
In 2.0818 2.2043 3.2627
In 3.7074 2.2043 5.9527
In 4.6197 2.2043 1.4228
In 6.2453 2.2043 4.1128
In 7.8709 2.2043 1.4228
Rh 2.0818 0.0000 5.2964
Rh 6.2453 0.0000 2.0790
```

Largest 12 diffraction maxima, sorted by position, 10 to 90 degrees two-theta:
2θ (°)	I (rel.)
21.34	20
29.51	59
31.96	100
33.46	96
34.53	21
38.17	47
38.48	66
40.30	39
40.94	58
43.48	27
57.21	29
64.98	24

=====

No. 10
# CeYMnIn
Theoretical powder X-ray diffraction pattern, a wavelength of 1.5418 Å. Input: the GGA-PBE geometry in Alexandria.

Cell and atoms:
```
16
Lattice="7.4177 0.0000 0.0000 0.0000 7.4177 0.0000 0.0000 0.0000 7.4177" Properties=species:S:1:pos:R:3 pbc="T T T"
Ce 0.0000 0.0000 0.0000
Ce 0.0000 3.7089 3.7089
Ce 3.7089 0.0000 3.7089
Ce 3.7089 3.7089 0.0000
Y 0.0000 0.0000 3.7089
Y 0.0000 3.7089 0.0000
Y 3.7089 0.0000 0.0000
Y 3.7089 3.7089 3.7089
Mn 1.8544 1.8544 1.8544
Mn 1.8544 5.5633 5.5633
Mn 5.5633 1.8544 5.5633
Mn 5.5633 5.5633 1.8544
In 1.8544 1.8544 5.5633
In 1.8544 5.5633 1.8544
In 5.5633 1.8544 1.8544
In 5.5633 5.5633 5.5633
```

Largest 12 diffraction maxima, sorted by position, 10 to 90 degrees two-theta:
2θ (°)	I (rel.)
20.74	8
23.99	2
34.19	100
40.33	5
49.13	18
53.87	2
55.39	1
61.21	35
65.37	2
72.02	11
75.88	2
82.19	15

=====

No. 11
# Ce8In2Mo
Theoretical powder X-ray diffraction pattern, a wavelength of 1.5418 Å. Input: the GGA-PBE geometry in Alexandria.

Cell and atoms:
```
11
Lattice="-2.8346 3.5540 7.1941 2.8346 -3.5540 7.1941 2.8346 3.5540 -7.1941" Properties=species:S:1:pos:R:3 pbc="T T T"
Ce 0.0000 0.0000 1.9845
Ce 2.8346 2.0830 -1.7777
Ce 0.0000 1.8583 0.0000
Ce 2.8346 2.0830 1.7777
Ce 0.0000 1.4711 5.4164
Ce 0.0000 5.2498 0.0000
Ce 0.0000 1.4711 8.9718
Ce 0.0000 0.0000 12.4036
In 2.8346 0.0000 4.3091
In 0.0000 3.5540 2.8850
Mo 2.8346 0.0000 0.0000
```

Largest 12 diffraction maxima, sorted by position, 10 to 90 degrees two-theta:
2θ (°)	I (rel.)
28.00	13
31.56	55
32.05	37
34.97	21
35.19	100
38.51	9
43.50	15
51.42	9
58.58	23
61.60	10
68.96	9
73.56	11

=====

No. 12
# Ce6In2N
Theoretical powder X-ray diffraction pattern, a wavelength of 1.5418 Å. Input: the GGA-PBE geometry in Alexandria.

Cell and atoms:
```
9
Lattice="0.0000 4.8804 4.8804 4.8804 0.0000 4.8804 4.8804 4.8804 0.0000" Properties=species:S:1:pos:R:3 pbc="T T T"
Ce 4.8804 4.8804 2.4267
Ce 4.8804 2.4267 4.8804
Ce 7.3341 4.8804 4.8804
Ce 2.4267 4.8804 4.8804
Ce 4.8804 7.3341 4.8804
Ce 4.8804 4.8804 7.3341
In 2.4402 2.4402 2.4402
In 7.3206 7.3206 7.3206
N 0.0000 0.0000 0.0000
```

Largest 9 diffraction maxima, sorted by position, 10 to 90 degrees two-theta:
2θ (°)	I (rel.)
18.18	1
31.76	100
36.83	53
53.07	37
63.19	41
66.35	12
78.37	6
87.03	17
89.89	17

=====

No. 13
# Ce4In2N
Theoretical powder X-ray diffraction pattern, a wavelength of 1.5418 Å. Input: the GGA-PBE geometry in Alexandria.

Cell and atoms:
```
14
Lattice="4.8898 0.0000 0.0000 0.0000 4.8898 0.0000 0.0000 0.0000 16.0247" Properties=species:S:1:pos:R:3 pbc="T T T"
Ce 0.0000 0.0000 2.5250
Ce 0.0000 0.0000 13.4997
Ce 0.0000 2.4449 0.0000
Ce 0.0000 2.4449 8.0124
Ce 2.4449 0.0000 0.0000
Ce 2.4449 0.0000 8.0124
Ce 2.4449 2.4449 5.4873
Ce 2.4449 2.4449 10.5374
In 0.0000 0.0000 5.7854
In 0.0000 0.0000 10.2393
In 2.4449 2.4449 2.2269
In 2.4449 2.4449 13.7978
N 0.0000 0.0000 0.0000
N 2.4449 2.4449 8.0124
```

Largest 12 diffraction maxima, sorted by position, 10 to 90 degrees two-theta:
2θ (°)	I (rel.)
11.04	16
28.11	64
33.55	26
34.26	100
36.76	59
50.61	36
52.97	20
61.03	14
64.05	18
64.17	16
64.61	31
87.71	15

=====

No. 14
# Ce12InPb4N3
Theoretical powder X-ray diffraction pattern, a wavelength of 1.5418 Å. Input: the GGA-PBE geometry in Alexandria.

Cell and atoms:
```
20
Lattice="-5.1361 5.1361 5.1361 5.1361 -5.1361 5.1361 5.1361 5.1361 -5.1361" Properties=species:S:1:pos:R:3 pbc="T T T"
Ce 2.8875 0.0000 0.0000
Ce 7.3846 0.0000 0.0000
Ce 5.1361 2.5680 0.0000
Ce 5.1361 0.0000 2.5680
Ce 0.0000 2.8875 0.0000
Ce 0.0000 0.0000 2.8875
Ce 2.5680 5.1361 0.0000
Ce 2.5680 0.0000 5.1361
Ce 0.0000 7.3846 0.0000
Ce 0.0000 0.0000 7.3846
Ce 0.0000 5.1361 2.5680
Ce 0.0000 2.5680 5.1361
In 0.0000 0.0000 0.0000
Pb 2.5680 2.5680 -2.5680
Pb 2.5680 -2.5680 2.5680
Pb -2.5680 2.5680 2.5680
Pb 2.5680 2.5680 2.5680
N 5.1361 0.0000 0.0000
N 0.0000 5.1361 0.0000
N 0.0000 0.0000 5.1361
```

Largest 12 diffraction maxima, sorted by position, 10 to 90 degrees two-theta:
2θ (°)	I (rel.)
24.51	10
30.14	100
32.62	5
34.94	65
41.22	5
50.24	44
59.71	39
62.66	14
66.94	4
73.80	6
81.73	14
84.33	17